Entry 1:
LaGeRuO: theoretical powder X-ray diffraction pattern (copper Kα), based on a DFT-relaxed cell (GGA-PBE, Alexandria).

Unit cell a=4.264 b=4.264 c=8.287 alpha=90.00 beta=90.00 gamma=90.00
Space group P4/nmm (No. 129, origin choice 2)
Unique sites:
La: 0.250 0.250 0.138 x2
Ge: 0.250 0.250 0.638 x2
Ru: 0.250 0.750 0.500 x2
O: 0.250 0.750 0.000 x2

Most intense lines, 2θ from 10° to 80°, low angle first:
- 2θ 10.68, I 14
- 2θ 21.45, I 10
- 2θ 29.63, I 10
- 2θ 30.07, I 100
- 2θ 31.58, I 32
- 2θ 36.87, I 31
- 2θ 42.40, I 49
- 2θ 52.85, I 41
- 2θ 53.68, I 45
- 2θ 61.51, I 16

---

Entry 2:
La2Sm4Ge3O2: theoretical powder X-ray diffraction pattern (copper Kα), based on a DFT-relaxed cell (GGA-PBE, Alexandria).

Unit cell a=4.700 b=4.700 c=24.750 alpha=90.00 beta=90.00 gamma=90.00
Space group I4/mmm (No. 139)
Unique sites:
La: 0.000 0.000 0.197 x4
Sm: 0.000 0.500 0.079 x8
Ge: 0.000 0.000 0.328 x4
Ge: 0.000 0.000 0.500 x2
O: 0.000 0.000 0.098 x4

Most intense lines, 2θ from 10° to 80°, low angle first:
- 2θ 27.80, I 64
- 2θ 28.86, I 24
- 2θ 30.53, I 15
- 2θ 31.67, I 17
- 2θ 34.66, I 100
- 2θ 38.30, I 60
- 2θ 48.66, I 22
- 2θ 55.29, I 20
- 2θ 62.99, I 13
- 2θ 66.92, I 30

---

Entry 3:
La2Ge6OsRu: theoretical powder X-ray diffraction pattern (copper Kα), based on a DFT-relaxed cell (GGA-PBE, Alexandria).

Unit cell a=7.5337 b=7.5337 c=27.9624 alpha=90.00 beta=90.00 gamma=120.00
Space group R-3m (No. 166, hexagonal axes)
Unique sites:
La: 0.0000 0.0000 0.1385 x6
La: 0.0000 0.0000 0.2890 x6
Ge: 0.0166 0.5083 0.1176 x18
Ge: 0.0309 0.5155 0.7193 x18
Os: 0.0000 0.0000 0.3923 x6
Ru: 0.0000 0.0000 0.0000 x3
Ru: 0.0000 0.0000 0.5000 x3

Most intense lines, 2θ from 10° to 80°, low angle first:
- 2θ 13.94, I 24
- 2θ 23.62, I 100
- 2θ 31.76, I 36
- 2θ 35.53, I 66
- 2θ 37.52, I 29
- 2θ 37.72, I 41
- 2θ 38.66, I 18
- 2θ 41.52, I 21
- 2θ 42.58, I 24
- 2θ 48.32, I 80

---

Entry 4:
La10Ge3P3: theoretical powder X-ray diffraction pattern (copper Kα), based on a DFT-relaxed cell (GGA-PBE, Alexandria).

Unit cell a=8.9578 b=8.9578 c=6.5953 alpha=90.00 beta=90.00 gamma=120.00
Space group P-62m (No. 189)
Unique sites:
La: 0.0000 0.2519 0.0000 x3
La: 0.0000 0.7408 0.5000 x3
La: 0.3333 0.6667 0.2330 x4
Ge: 0.0000 0.3850 0.5000 x3
P: 0.0000 0.6213 0.0000 x3

Most intense lines, 2θ from 10° to 80°, low angle first:
- 2θ 22.93, I 24
- 2θ 24.02, I 29
- 2θ 29.43, I 33
- 2θ 30.49, I 39
- 2θ 33.44, I 90
- 2θ 33.75, I 100
- 2θ 34.69, I 60
- 2θ 49.18, I 29
- 2θ 51.99, I 26
- 2θ 54.92, I 25